For Nd8SnS6, DFT lattice parameters and positions (GGA-PBE) gives the computed powder XRD pattern in this record (a wavelength of 1.5418 Å).

Largest 12 diffraction maxima, in order of falling intensity, 2θ from 10° to 90°:
(3 0 0), 29.18°, I 1000; (2 -1 1), 27.46°, I 574; (2 2 1), 40.50°, I 306; (3 -1 1), 33.81°, I 258; (5 -2 1), 48.57°, I 241; (3 0 2), 53.73°, I 162; (5 -4 1), 50.69°, I 143; (3 3 0), 51.73°, I 132; (8 -5 1), 76.19°, I 120; (1 1 3), 71.11°, I 109; (1 3 0), 35.24°, I 107; (6 0 0), 60.50°, I 106

Structure:
abc: 10.6018 10.6018 4.1092
angles: 90.00 90.00 120.00
Space group P-3 (No. 147)
One atom of each set of equivalent atoms:
Nd: 0.0345 0.3368 0.2478 x6
Nd: 0.3333 0.6667 0.7507 x2
Sn: 0.0000 0.0000 0.0000 x1
S: 0.1366 0.6534 0.2501 x6

For NdTl2SnS4, DFT lattice parameters and positions (GGA-PBE) gives the computed powder XRD pattern in this record (a wavelength of 1.5418 Å).

Largest 12 diffraction maxima, in order of falling intensity, 2θ from 10° to 90°:
(1 1 1), 29.86°, I 1000; (1 1 -1), 26.44°, I 607; (2 0 -2), 29.66°, I 506; (0 0 2), 23.85°, I 419; (1 1 -3), 41.17°, I 384; (3 1 -1), 43.96°, I 351; (2 0 0), 26.09°, I 313; (2 0 -4), 48.04°, I 235; (2 0 2), 40.85°, I 198; (2 2 -2), 54.43°, I 183; (0 2 0), 44.55°, I 170; (3 1 -3), 50.70°, I 121

Structure:
abc: 7.165 4.068 7.826
angles: 90.00 107.56 90.00
Space group P2/m (No. 10)
One atom of each set of equivalent atoms:
Nd: 0.000 0.000 0.000 x1
Tl: 0.000 0.500 0.500 x1
Tl: 0.500 0.000 0.500 x1
Sn: 0.500 0.500 0.000 x1
S: 0.244 0.500 0.202 x2
S: 0.272 0.000 0.797 x2

For Sr2NdS3, DFT lattice parameters and positions (GGA-PBE) gives the computed powder XRD pattern in this record (a wavelength of 1.5418 Å).

Largest 12 diffraction maxima, in order of falling intensity, 2θ from 10° to 90°:
(2 0 6), 30.12°, I 1000; (4 0 0), 43.10°, I 601; (2 2 0), 26.01°, I 514; (4 4 12), 71.04°, I 211; (4 2 6), 51.02°, I 179; (4 4 0), 53.41°, I 127; (0 4 12), 53.57°, I 124; (0 0 12), 43.20°, I 120; (4 8 0), 78.95°, I 119; (2 4 18), 79.16°, I 118; (4 0 12), 62.62°, I 115; (2 2 12), 51.10°, I 88

Structure:
abc: 8.410 11.867 25.128
angles: 90.00 90.00 90.00
Space group Fddd (No. 70, origin choice 2)
One atom of each set of equivalent atoms:
Sr: 0.125 0.125 0.042 x16
Sr: 0.125 0.125 0.374 x16
Nd: 0.125 0.125 0.542 x16
S: 0.116 0.375 0.875 x16
S: 0.120 0.370 0.710 x32

For Sr2NdS4, DFT lattice parameters and positions (GGA-PBE) gives the computed powder XRD pattern in this record (a wavelength of 1.5418 Å).

Largest 12 diffraction maxima, in order of falling intensity, 2θ from 10° to 90°:
(0 2 3), 24.02°, I 1000; (1 3 1), 29.38°, I 786; (1 3 2), 31.76°, I 511; (1 5 2), 40.71°, I 453; (1 1 5), 41.58°, I 375; (1 1 2), 26.32°, I 273; (0 6 3), 43.20°, I 269; (2 2 3), 50.60°, I 266; (0 2 1), 14.10°, I 239; (2 0 0), 43.84°, I 237; (1 1 1), 23.44°, I 224; (0 4 0), 24.80°, I 190

Structure:
abc: 4.130 14.361 12.976
angles: 90.00 90.00 90.00
Space group Cmcm (No. 63)
One atom of each set of equivalent atoms:
Sr: 0.000 0.129 0.069 x8
Nd: 0.000 0.392 0.250 x4
S: 0.000 0.019 0.250 x4
S: 0.000 0.223 0.640 x8
S: 0.000 0.500 0.000 x4

For Sr3Nd3YS8, DFT lattice parameters and positions (GGA-PBE) gives the computed powder XRD pattern in this record (a wavelength of 1.5418 Å).

Largest 12 diffraction maxima, in order of falling intensity, 2θ from 10° to 90°:
(0 2 4), 30.50°, I 1000; (2 0 8), 43.17°, I 364; (2 2 0), 44.17°, I 348; (2 0 2), 26.53°, I 341; (0 0 3), 12.79°, I 202; (4 0 4), 54.62°, I 181; (2 4 4), 72.77°, I 156; (2 2 12), 71.32°, I 154; (0 0 6), 25.75°, I 125; (2 2 6), 51.83°, I 123; (4 2 8), 80.57°, I 114; (0 4 8), 63.48°, I 112

Structure:
abc: 8.2020 8.2020 20.7614
angles: 90.00 90.00 120.00
Space group R-3m (No. 166, hexagonal axes)
One atom of each set of equivalent atoms:
Sr: 0.0000 0.5000 0.0000 x9
Nd: 0.0000 0.5000 0.5000 x9
Y: 0.0000 0.0000 0.5000 x3
S: 0.0000 0.0000 0.2467 x6
S: 0.0111 0.5056 0.2425 x18

Repeat the fifth record exactly.
For Sr3Nd3YS8, DFT lattice parameters and positions (GGA-PBE) gives the computed powder XRD pattern in this record (a wavelength of 1.5418 Å).

Largest 12 diffraction maxima, in order of falling intensity, 2θ from 10° to 90°:
(0 2 4), 30.50°, I 1000; (2 0 8), 43.17°, I 364; (2 2 0), 44.17°, I 348; (2 0 2), 26.53°, I 341; (0 0 3), 12.79°, I 202; (4 0 4), 54.62°, I 181; (2 4 4), 72.77°, I 156; (2 2 12), 71.32°, I 154; (0 0 6), 25.75°, I 125; (2 2 6), 51.83°, I 123; (4 2 8), 80.57°, I 114; (0 4 8), 63.48°, I 112

Structure:
abc: 8.2020 8.2020 20.7614
angles: 90.00 90.00 120.00
Space group R-3m (No. 166, hexagonal axes)
One atom of each set of equivalent atoms:
Sr: 0.0000 0.5000 0.0000 x9
Nd: 0.0000 0.5000 0.5000 x9
Y: 0.0000 0.0000 0.5000 x3
S: 0.0000 0.0000 0.2467 x6
S: 0.0111 0.5056 0.2425 x18

Number 1 is which compound? Nd8SnS6